No. 1
Structure and calculated X-ray powder pattern of La12InRh6 (the PBE geometry in Alexandria; λ = 1.5418 Å (Cu Kα)).
Peak positions follow from Bragg's law for the DFT cell and can differ from measured ones.

Cell and atoms:
```
data_La12InRh6
_cell_length_a 10.3752
_cell_length_b 10.3752
_cell_length_c 10.3752
_cell_angle_alpha 90.00
_cell_angle_beta 90.00
_cell_angle_gamma 90.00
_symmetry_space_group_name_H-M 'I m -3'
_symmetry_Int_Tables_number 204
_symmetry_space_group_name_Hall '-I 2 2 3'
loop_
_atom_site_label
_atom_site_fract_x
_atom_site_fract_y
_atom_site_fract_z
La1 0.0000 0.3090 0.1831
In1 0.0000 0.0000 0.0000
Rh1 0.0000 0.1383 0.5000
```

Top 10 peaks for 2θ = 5–70°, in order of falling intensity:
2θ/deg	intensity
32.28	100
54.52	28
44.53	25
51.35	17
29.83	17
52.95	16
27.18	15
63.39	14
36.75	11
34.58	10

---

No. 2
Structure and calculated X-ray powder pattern of Pm3Si3Ru (the PBE geometry in Alexandria; λ = 1.5418 Å (Cu Kα)).
Peak positions follow from Bragg's law for the DFT cell and can differ from measured ones.

Cell and atoms:
```
data_Pm3Si3Ru
_cell_length_a 4.2198
_cell_length_b 10.7980
_cell_length_c 13.1633
_cell_angle_alpha 90.00
_cell_angle_beta 90.00
_cell_angle_gamma 90.00
_symmetry_space_group_name_H-M 'C m c m'
_symmetry_Int_Tables_number 63
_symmetry_space_group_name_Hall '-C 2c 2'
loop_
_atom_site_label
_atom_site_fract_x
_atom_site_fract_y
_atom_site_fract_z
Pm1 0.0000 0.0180 0.2500
Pm2 0.0000 0.2730 0.6030
Si1 0.0000 0.3123 0.2500
Si2 0.0000 0.4391 0.0892
Ru1 0.0000 0.0000 0.0000
```

Top 10 peaks for 2θ = 5–70°, in order of falling intensity:
2θ/deg	intensity
31.85	100
30.54	99
35.58	74
32.70	65
33.19	54
33.42	47
42.86	45
54.38	44
38.76	42
23.62	31

---

No. 3
Structure and calculated X-ray powder pattern of Cd3SnAu (the PBE geometry in Alexandria; λ = 1.5418 Å (Cu Kα)).
Peak positions follow from Bragg's law for the DFT cell and can differ from measured ones.

Cell and atoms:
```
data_Cd3SnAu
_cell_length_a 3.1239
_cell_length_b 8.6354
_cell_length_c 8.9143
_cell_angle_alpha 90.00
_cell_angle_beta 90.17
_cell_angle_gamma 90.00
_symmetry_space_group_name_H-M 'P 1 21/m 1'
_symmetry_Int_Tables_number 11
_symmetry_space_group_name_Hall '-P 2yb'
loop_
_atom_site_label
_atom_site_fract_x
_atom_site_fract_y
_atom_site_fract_z
Cd1 0.2493 0.0335 0.2619
Cd2 0.2510 0.7500 0.5233
Sn1 0.2515 0.7500 0.9663
Au1 0.2502 0.2500 0.7527
```

Top 10 peaks for 2θ = 5–70°, in order of falling intensity:
2θ/deg	intensity
36.64	100
36.92	91
65.17	32
40.48	31
41.85	29
43.79	28
32.69	26
31.85	25
20.57	24
14.28	24